Computed powder XRD pattern of Pr2Dy3Ge4 for Cu Kα X-rays, from a GGA-PBE-relaxed structure.
No peak broadening, texture or thermal motion is included.

Top 10 peaks for 2θ from 5° to 70°, sorted by position:
index	d (Å)	intensity
1 2 1	2.980	19
2 1 -2	2.947	24
2 2 -1	2.777	63
2 1 1	2.761	19
1 2 -2	2.739	27
1 1 2	2.722	100
3 0 0	2.489	54
3 0 -2	2.466	17
1 1 -3	2.430	47
1 3 3	1.645	18

Cell and atoms:
```
data_Pr2Dy3Ge4
_cell_length_a 7.9130
_cell_length_b 7.9506
_cell_length_c 7.6576
_cell_angle_alpha 90.00
_cell_angle_beta 109.32
_cell_angle_gamma 90.00
_symmetry_space_group_name_H-M 'P 1 21/c 1'
_symmetry_Int_Tables_number 14
_symmetry_space_group_name_Hall '-P 2ybc'
loop_
_atom_site_label
_atom_site_type_symbol
_atom_site_fract_x
_atom_site_fract_y
_atom_site_fract_z
Pr1 Pr 0.1951 0.1784 0.0724
Dy1 Dy 0.2460 0.6701 0.2482
Dy2 Dy 0.5000 0.0000 0.5000
Ge1 Ge 0.0830 0.5385 0.8540
Ge2 Ge 0.4912 0.1311 0.8661
```

---

Computed powder XRD pattern of Pr2DyGe3Pt4 for Cu Kα X-rays, from a GGA-PBE-relaxed structure.
No peak broadening, texture or thermal motion is included.

Top 10 peaks for 2θ from 5° to 70°, sorted by position:
index	d (Å)	intensity
1 0 2	3.424	17
1 0 3	2.818	22
1 1 2	2.691	100
1 0 4	2.339	14
2 0 0	2.176	54
1 1 4	2.060	30
1 0 5	1.977	17
2 2 0	1.539	18
2 1 5	1.463	13
2 0 6	1.409	14

Cell and atoms:
```
data_Pr2DyGe3Pt4
_cell_length_a 4.3519
_cell_length_b 4.3519
_cell_length_c 11.0933
_cell_angle_alpha 90.00
_cell_angle_beta 90.00
_cell_angle_gamma 90.00
_symmetry_space_group_name_H-M 'P -4 m 2'
_symmetry_Int_Tables_number 115
_symmetry_space_group_name_Hall 'P -4 -2'
loop_
_atom_site_label
_atom_site_type_symbol
_atom_site_fract_x
_atom_site_fract_y
_atom_site_fract_z
Pr1 Pr 0.0000 0.5000 0.2235
Dy1 Dy 0.0000 0.0000 0.5000
Ge1 Ge 0.0000 0.5000 0.8786
Ge2 Ge 0.5000 0.5000 0.5000
Pt1 Pt 0.0000 0.0000 0.0000
Pt2 Pt 0.0000 0.5000 0.6556
Pt3 Pt 0.5000 0.5000 0.0000
```

---

Computed powder XRD pattern of PrDyGeS for Cu Kα X-rays, from a GGA-PBE-relaxed structure.
No peak broadening, texture or thermal motion is included.

Top 10 peaks for 2θ from 5° to 70°, sorted by position:
index	d (Å)	intensity
0 0 6	3.396	11
0 1 2	3.379	31
1 0 4	2.930	100
0 1 8	2.076	37
1 1 0	2.068	37
1 0 10	1.771	5
1 1 6	1.766	16
0 0 12	1.698	6
0 2 4	1.690	19
2 0 8	1.465	12

Cell and atoms:
```
data_PrDyGeS
_cell_length_a 4.1363
_cell_length_b 4.1363
_cell_length_c 20.3774
_cell_angle_alpha 90.00
_cell_angle_beta 90.00
_cell_angle_gamma 120.00
_symmetry_space_group_name_H-M 'R 3 m'
_symmetry_Int_Tables_number 160
_symmetry_space_group_name_Hall 'R 3 -2"'
loop_
_atom_site_label
_atom_site_type_symbol
_atom_site_fract_x
_atom_site_fract_y
_atom_site_fract_z
Pr1 Pr 0.0000 0.0000 0.0000
Dy1 Dy 0.0000 0.0000 0.5006
Ge1 Ge 0.0000 0.0000 0.7537
S1 S 0.0000 0.0000 0.2457
```

---

Computed powder XRD pattern of Dy2Ge6Pt21 for Cu Kα X-rays, from a GGA-PBE-relaxed structure.
No peak broadening, texture or thermal motion is included.

Top 10 peaks for 2θ from 5° to 70°, sorted by position:
index	d (Å)	intensity
4 2 0	2.798	13
4 2 2	2.555	19
3 3 3	2.409	100
4 4 0	2.212	32
5 3 1	2.115	31
6 0 0	2.086	16
6 2 2	1.887	13
6 6 0	1.475	23
5 5 5	1.445	15
9 1 1	1.374	9

Cell and atoms:
```
data_Dy2Ge6Pt21
_cell_length_a 12.5151
_cell_length_b 12.5151
_cell_length_c 12.5151
_cell_angle_alpha 90.00
_cell_angle_beta 90.00
_cell_angle_gamma 90.00
_symmetry_space_group_name_H-M 'F m -3 m'
_symmetry_Int_Tables_number 225
_symmetry_space_group_name_Hall '-F 4 2 3'
loop_
_atom_site_label
_atom_site_type_symbol
_atom_site_fract_x
_atom_site_fract_y
_atom_site_fract_z
Dy1 Dy 0.2500 0.2500 0.2500
Ge1 Ge 0.0000 0.0000 0.2324
Pt1 Pt 0.0000 0.0000 0.5000
Pt2 Pt 0.0000 0.1736 0.3264
Pt3 Pt 0.1190 0.1190 0.1190
```

---

Computed powder XRD pattern of DyGe2Pt3 for Cu Kα X-rays, from a GGA-PBE-relaxed structure.
No peak broadening, texture or thermal motion is included.

Top 10 peaks for 2θ from 5° to 70°, sorted by position:
index	d (Å)	intensity
3 1 1	2.898	42
1 1 -3	2.578	100
5 1 -1	2.566	29
5 1 -2	2.460	44
5 1 1	2.299	22
2 0 4	2.152	21
6 0 -4	2.123	19
6 0 2	2.092	17
7 1 -1	2.048	24
0 2 0	2.009	47

Cell and atoms:
```
data_DyGe2Pt3
_cell_length_a 16.6831
_cell_length_b 4.0181
_cell_length_c 10.1214
_cell_angle_alpha 90.00
_cell_angle_beta 106.77
_cell_angle_gamma 90.00
_symmetry_space_group_name_H-M 'C 1 2/m 1'
_symmetry_Int_Tables_number 12
_symmetry_space_group_name_Hall '-C 2y'
loop_
_atom_site_label
_atom_site_type_symbol
_atom_site_fract_x
_atom_site_fract_y
_atom_site_fract_z
Dy1 Dy 0.0000 0.0000 0.0000
Dy2 Dy 0.1529 0.0000 0.6891
Ge1 Ge 0.0406 0.5000 0.7792
Ge2 Ge 0.1383 0.5000 0.4498
Ge3 Ge 0.1987 0.0000 0.1307
Pt1 Pt 0.0000 0.5000 0.5000
Pt2 Pt 0.0395 0.0000 0.3290
Pt3 Pt 0.1131 0.5000 0.1867
Pt4 Pt 0.1756 0.5000 0.9547
Pt5 Pt 0.2240 0.0000 0.3851
```

---

Computed powder XRD pattern of Dy5Ge5Pt2 for Cu Kα X-rays, from a GGA-PBE-relaxed structure.
No peak broadening, texture or thermal motion is included.

Top 10 peaks for 2θ from 5° to 70°, sorted by position:
index	d (Å)	intensity
2 0 -1	7.565	38
3 1 -3	2.755	100
2 0 2	2.623	42
1 1 2	2.585	59
1 1 -3	2.546	36
5 1 -3	2.424	29
6 0 -4	2.372	33
5 1 -1	2.292	79
0 2 0	2.135	49
2 2 2	1.656	24

Cell and atoms:
```
data_Dy5Ge5Pt2
_cell_length_a 15.1558
_cell_length_b 4.2690
_cell_length_c 10.8553
_cell_angle_alpha 90.00
_cell_angle_beta 130.85
_cell_angle_gamma 90.00
_symmetry_space_group_name_H-M 'C 1 2/m 1'
_symmetry_Int_Tables_number 12
_symmetry_space_group_name_Hall '-C 2y'
loop_
_atom_site_label
_atom_site_type_symbol
_atom_site_fract_x
_atom_site_fract_y
_atom_site_fract_z
Dy1 Dy 0.0000 0.0000 0.0000
Dy2 Dy 0.1133 0.0000 0.4195
Dy3 Dy 0.1968 0.0000 0.8236
Ge1 Ge 0.0000 0.5000 0.5000
Ge2 Ge 0.0630 0.5000 0.8363
Ge3 Ge 0.2445 0.5000 0.6912
Pt1 Pt 0.1406 0.5000 0.2530
```